1.
For GaMo6C, a DFT-relaxed cell (PBE, Alexandria) gives the computed X-ray powder pattern in this record (a wavelength of 1.5418 Å).

Top 10 peaks for 10 to 90 degrees two-theta, low angle first:
- 2θ 31.81, intensity 17, hkl 1 0 4
- 2θ 32.34, intensity 12, hkl 1 1 0
- 2θ 37.86, intensity 100, hkl 2 -1 3
- 2θ 38.09, intensity 26, hkl 0 2 1
- 2θ 38.89, intensity 22, hkl 0 0 6
- 2θ 39.77, intensity 18, hkl 2 0 2
- 2θ 50.80, intensity 12, hkl 2 1 1
- 2θ 51.44, intensity 25, hkl 1 1 6
- 2θ 69.74, intensity 16, hkl 1 1 9
- 2θ 76.73, intensity 13, hkl 4 -3 4

Lattice parameters (Å, degrees): 5.5371 5.5371 13.8949 90.00 90.00 120.00
Space group R-3 (No. 148, hexagonal axes)
Unique sites:
1 Ga 0.0000 0.0000 0.0000 x3
2 Mo 0.0234 0.6123 0.9160 x18
3 C 0.0000 0.0000 0.5000 x3

---

2.
For ErPaZn4, a DFT-relaxed cell (PBE, Alexandria) gives the computed X-ray powder pattern in this record (a wavelength of 1.5418 Å).

Top 10 peaks for 10 to 90 degrees two-theta, low angle first:
- 2θ 22.66, intensity 33, hkl 0 1 1
- 2θ 35.67, intensity 100, hkl 1 0 2
- 2θ 39.79, intensity 59, hkl 0 2 0
- 2θ 46.28, intensity 5, hkl 0 0 4
- 2θ 54.50, intensity 30, hkl 1 2 2
- 2θ 56.07, intensity 7, hkl 2 0 0
- 2θ 61.25, intensity 5, hkl 2 1 1
- 2θ 69.57, intensity 28, hkl 1 1 5
- 2θ 70.94, intensity 21, hkl 2 2 0
- 2θ 72.24, intensity 10, hkl 0 3 3

Lattice parameters (Å, degrees): 3.281 4.531 7.845 90.00 90.00 90.00
Space group Pmmm (No. 47)
Unique sites:
1 Er 0.000 0.000 0.000 x1
2 Pa 0.000 0.500 0.500 x1
3 Zn 0.500 0.000 0.330 x2
4 Zn 0.500 0.500 0.164 x2

---

3.
For CaPt2Se, a DFT-relaxed cell (PBE, Alexandria) gives the computed X-ray powder pattern in this record (a wavelength of 1.5418 Å).

Top 10 peaks for 10 to 90 degrees two-theta, low angle first:
- 2θ 18.80, intensity 100, hkl 0 0 1
- 2θ 34.30, intensity 35, hkl 1 1 1
- 2θ 37.63, intensity 64, hkl 3 1 -1
- 2θ 38.13, intensity 14, hkl 0 0 2
- 2θ 38.98, intensity 34, hkl 3 1 0
- 2θ 45.58, intensity 18, hkl 3 1 -2
- 2θ 47.87, intensity 17, hkl 0 2 0
- 2θ 49.00, intensity 14, hkl 3 1 1
- 2θ 49.95, intensity 13, hkl 1 1 2
- 2θ 51.87, intensity 15, hkl 0 2 1

Lattice parameters (Å, degrees): 9.493 3.800 5.132 90.00 113.12 90.00
Space group Cm (No. 8)
Unique sites:
1 Ca 0.000 0.000 0.000 x2
2 Pt 0.290 0.500 0.400 x2
3 Pt 0.491 0.000 0.441 x2
4 Se 0.191 0.000 0.628 x2

---

4.
For Rb3Tl4Pb2, a DFT-relaxed cell (PBE, Alexandria) gives the computed X-ray powder pattern in this record (a wavelength of 1.5418 Å).

Top 10 peaks for 10 to 90 degrees two-theta, low angle first:
- 2θ 13.28, intensity 100, hkl 0 1 -1
- 2θ 26.35, intensity 94, hkl 1 1 0
- 2θ 27.31, intensity 44, hkl 0 0 3
- 2θ 27.46, intensity 50, hkl 1 -2 2
- 2θ 30.31, intensity 98, hkl -1 2 1
- 2θ 30.87, intensity 33, hkl 0 2 -3
- 2θ 32.24, intensity 40, hkl 1 1 -3
- 2θ 33.28, intensity 75, hkl 2 -1 0
- 2θ 34.96, intensity 34, hkl 1 0 3
- 2θ 38.35, intensity 34, hkl 1 -3 0

Lattice parameters (Å, degrees): 5.385 7.505 10.524 109.86 90.23 111.02
Space group P-1 (No. 2)
Unique sites:
1 Rb 0.000 0.000 0.000 x1
2 Rb 0.380 0.763 0.634 x2
3 Tl 0.077 0.159 0.662 x2
4 Tl 0.312 0.624 0.953 x2
5 Pb 0.290 0.577 0.247 x2